Computed XRD peak list of FeH14C4NOF4 for copper Kα, from a structure optimized by DFT (GGA+U).

Principal peaks in the range 10° ≤ 2θ ≤ 90°, in order of rising 2θ:
Position (°2θ)  I (rel.)  index
10.56  57.7  0 0 1
12.15  100.0  0 1 0
12.51  21.0  0 1 1
13.20  32.5  1 0 0
15.60  61.8  1 1 1
19.08  26.5  0 1 -1
21.91  15.8  1 1 2
22.35  45.4  1 2 1
25.06  20.9  1 0 -2
25.18  15.8  1 -1 1
33.03  13.2  1 -1 2
37.00  11.6  -1 2 3

Crystal structure
```
50
Lattice="7.031 0.000 0.000 2.509 7.948 0.000 1.120 3.659 8.379" Properties=species:S:1:pos:R:3 pbc="T T T"
Fe 1.675 1.418 3.143
Fe 8.985 10.190 5.236
H 1.887 4.575 1.904
H 2.206 5.569 0.435
H 2.724 6.170 2.049
H 2.056 3.422 6.720
H 2.641 4.694 4.725
H 3.408 6.325 4.886
H 2.706 3.959 8.314
H 4.435 8.916 5.638
H 2.639 2.403 0.177
H 4.102 7.086 7.117
H 3.829 3.409 7.016
H 4.373 4.836 5.191
H 5.992 8.930 5.196
H 4.994 5.538 7.349
H 5.667 6.070 1.029
H 4.668 2.678 3.183
H 6.287 6.772 3.187
H 6.831 8.198 1.362
H 6.558 4.521 1.261
H 8.022 9.205 8.202
H 6.225 2.691 2.741
H 7.954 7.649 0.065
H 7.252 5.283 3.492
H 8.019 6.914 3.654
H 8.604 8.185 1.659
H 7.936 5.437 6.330
H 8.454 6.038 7.944
H 8.773 7.033 6.475
C 1.966 5.592 1.505
C 2.885 3.921 7.233
C 3.381 5.296 5.263
C 4.042 6.061 7.497
C 6.618 5.546 0.882
C 7.279 6.311 3.115
C 7.775 7.687 1.146
C 8.694 6.015 6.874
N 2.990 5.328 6.715
N 7.670 6.280 1.664
O 5.068 8.651 4.912
O 5.592 2.956 3.467
F 1.103 2.993 4.347
F 3.122 9.376 6.566
F 4.507 7.788 2.171
F 3.253 2.346 2.593
F 7.407 9.261 5.785
F 6.153 3.819 6.208
F 7.538 2.232 1.812
F 9.557 8.614 4.031
```

***

Computed XRD peak list of FeSb2C6O6F12 for copper Kα, from a structure optimized by DFT (GGA+U).

Principal peaks in the range 10° ≤ 2θ ≤ 90°, in order of rising 2θ:
Position (°2θ)  I (rel.)  index
12.68  41.5  1 0 1
14.01  30.3  0 0 2
14.96  59.8  1 1 0
20.55  100.0  1 1 2
21.21  38.3  2 0 0
25.51  42.7  2 0 2
28.23  16.1  0 0 4
30.17  34.8  2 2 0
36.78  21.0  3 1 2
37.21  21.0  2 1 4
41.80  21.6  2 2 4
57.16  16.2  4 2 4

Crystal structure
```
54
Lattice="8.377 0.000 0.000 0.000 8.377 0.000 0.000 0.000 12.643" Properties=species:S:1:pos:R:3 pbc="T T T"
Fe 0.000 0.000 0.000
Fe 4.189 4.189 6.321
Sb 0.000 4.189 3.161
Sb 0.000 4.189 9.482
Sb 4.189 0.000 3.161
Sb 4.189 0.000 9.482
C 0.000 0.000 1.872
C 0.000 0.000 10.771
C 0.996 1.592 0.000
C 1.592 7.381 0.000
C 2.597 3.192 6.321
C 3.192 5.781 6.321
C 4.189 4.189 4.450
C 4.189 4.189 8.193
C 5.185 2.597 6.321
C 5.781 5.185 6.321
C 6.785 0.996 0.000
C 7.381 6.785 0.000
O 0.000 0.000 3.008
O 0.000 0.000 9.635
O 1.593 2.558 0.000
O 1.630 2.596 6.321
O 2.558 6.785 0.000
O 2.596 6.747 6.321
O 4.189 4.189 3.314
O 4.189 4.189 9.329
O 5.782 1.630 6.321
O 5.819 1.593 0.000
O 6.747 5.782 6.321
O 6.785 5.819 0.000
F 0.901 5.197 1.790
F 0.901 5.197 10.853
F 1.008 5.090 4.532
F 1.008 5.090 8.111
F 1.354 2.835 3.161
F 1.354 2.835 9.482
F 2.835 7.024 3.161
F 2.835 7.024 9.482
F 3.181 0.901 1.790
F 3.181 0.901 10.853
F 3.288 1.008 4.532
F 3.288 1.008 8.111
F 5.090 7.370 4.532
F 5.090 7.370 8.111
F 5.197 7.476 1.790
F 5.197 7.476 10.853
F 5.542 1.354 3.161
F 5.542 1.354 9.482
F 7.024 5.542 3.161
F 7.024 5.542 9.482
F 7.370 3.288 4.532
F 7.370 3.288 8.111
F 7.476 3.181 1.790
F 7.476 3.181 10.853
```

***

Copy entry 1 word for word.
Computed XRD peak list of FeH14C4NOF4 for copper Kα, from a structure optimized by DFT (GGA+U).

Principal peaks in the range 10° ≤ 2θ ≤ 90°, in order of rising 2θ:
Position (°2θ)  I (rel.)  index
10.56  57.7  0 0 1
12.15  100.0  0 1 0
12.51  21.0  0 1 1
13.20  32.5  1 0 0
15.60  61.8  1 1 1
19.08  26.5  0 1 -1
21.91  15.8  1 1 2
22.35  45.4  1 2 1
25.06  20.9  1 0 -2
25.18  15.8  1 -1 1
33.03  13.2  1 -1 2
37.00  11.6  -1 2 3

Crystal structure
```
50
Lattice="7.031 0.000 0.000 2.509 7.948 0.000 1.120 3.659 8.379" Properties=species:S:1:pos:R:3 pbc="T T T"
Fe 1.675 1.418 3.143
Fe 8.985 10.190 5.236
H 1.887 4.575 1.904
H 2.206 5.569 0.435
H 2.724 6.170 2.049
H 2.056 3.422 6.720
H 2.641 4.694 4.725
H 3.408 6.325 4.886
H 2.706 3.959 8.314
H 4.435 8.916 5.638
H 2.639 2.403 0.177
H 4.102 7.086 7.117
H 3.829 3.409 7.016
H 4.373 4.836 5.191
H 5.992 8.930 5.196
H 4.994 5.538 7.349
H 5.667 6.070 1.029
H 4.668 2.678 3.183
H 6.287 6.772 3.187
H 6.831 8.198 1.362
H 6.558 4.521 1.261
H 8.022 9.205 8.202
H 6.225 2.691 2.741
H 7.954 7.649 0.065
H 7.252 5.283 3.492
H 8.019 6.914 3.654
H 8.604 8.185 1.659
H 7.936 5.437 6.330
H 8.454 6.038 7.944
H 8.773 7.033 6.475
C 1.966 5.592 1.505
C 2.885 3.921 7.233
C 3.381 5.296 5.263
C 4.042 6.061 7.497
C 6.618 5.546 0.882
C 7.279 6.311 3.115
C 7.775 7.687 1.146
C 8.694 6.015 6.874
N 2.990 5.328 6.715
N 7.670 6.280 1.664
O 5.068 8.651 4.912
O 5.592 2.956 3.467
F 1.103 2.993 4.347
F 3.122 9.376 6.566
F 4.507 7.788 2.171
F 3.253 2.346 2.593
F 7.407 9.261 5.785
F 6.153 3.819 6.208
F 7.538 2.232 1.812
F 9.557 8.614 4.031
```

***

> What is the formula in the first record?

FeH14C4NOF4